For Cs2SnRhI6, a cell relaxed with GGA-PBE gives the theoretical powder XRD pattern in this record (Cu Kα, 1.54184 Å).

Structural model:
a = 8.350 Å, b = 8.350 Å, c = 8.350 Å
α = 120.09°, β = 120.09°, γ = 89.85°
Atoms (fractional coordinates):
1 Cs 0.250 0.750 0.500
2 Cs 0.750 0.250 0.500
3 Sn 0.000 0.000 0.000
4 Rh 0.500 0.500 0.000
5 I 0.265 0.265 0.000
6 I 0.265 0.265 0.530
7 I 0.265 0.735 0.000
8 I 0.735 0.265 0.000
9 I 0.735 0.735 0.000
10 I 0.735 0.735 0.470

The 10 most intense peaks (2θ = 10–90°), in order of rising 2θ:
15.01 deg, d 5.902, rel. 18
21.29 deg, d 4.173, rel. 19
26.15 deg, d 3.408, rel. 78
30.29 deg, d 2.951, rel. 100
43.36 deg, d 2.087, rel. 72
51.38 deg, d 1.778, rel. 21
53.81 deg, d 1.704, rel. 24
69.41 deg, d 1.354, rel. 12
71.54 deg, d 1.319, rel. 20
79.61 deg, d 1.204, rel. 14